Starting from a cell relaxed with GGA-PBE, the powder X-ray diffraction pattern of AgBiSI2O10 was simulated for a wavelength of 1.5418 Å.
Intensities are scaled so that the largest is 100.

Largest 10 diffraction maxima, sorted by position, 2θ = 10–90°:
2θ (°)  I (rel.)
15.07  25.2
27.04  100.0
27.93  78.6
28.32  88.6
29.44  75.0
31.15  43.7
32.85  48.6
33.96  30.9
44.02  22.8
47.75  34.2

Atomic structure:
```
AgBiSI2O10
1.0
5.468 0.000 0.000
-2.304 6.456 0.000
-0.467 -0.420 11.761
Ag Bi S I O
2 2 2 4 20
direct
0.000 0.000 0.000
0.409 0.820 0.802
0.302 0.604 0.110
0.819 0.558 0.565
0.214 0.371 0.393
0.882 0.788 0.282
0.079 0.169 0.725
0.472 0.960 0.513
0.616 0.204 0.163
0.760 0.493 0.880
0.075 0.438 0.718
0.084 0.684 0.933
0.095 0.852 0.201
0.116 0.425 0.284
0.220 0.819 0.612
0.330 0.208 0.374
0.342 0.205 0.834
0.346 0.269 0.095
0.416 0.558 0.450
0.541 0.203 0.598
0.557 0.964 0.078
0.581 0.631 0.960
0.675 0.596 0.232
0.715 0.626 0.749
0.737 0.889 0.579
0.764 0.950 0.300
0.820 0.079 0.825
0.871 0.353 0.068
0.990 0.741 0.392
0.992 0.300 0.470
```

---

Starting from a cell relaxed with GGA-PBE, the powder X-ray diffraction pattern of AgBi2S3I was simulated for a wavelength of 1.5418 Å.
Intensities are scaled so that the largest is 100.

Largest 10 diffraction maxima, sorted by position, 2θ = 10–90°:
2θ (°)  I (rel.)
22.71  13.4
25.35  50.2
27.04  74.4
29.94  13.9
31.73  100.0
33.71  24.4
42.42  33.8
44.59  26.1
51.97  13.3
55.76  12.9

Atomic structure:
```
AgBi2S3I
1.0
7.952 0.000 0.000
0.000 4.066 0.000
-1.969 0.000 11.271
Ag Bi S I
2 4 6 2
direct
0.062 0.250 0.405
0.938 0.750 0.595
0.175 0.250 0.916
0.438 0.750 0.641
0.562 0.250 0.359
0.825 0.750 0.084
0.043 0.250 0.141
0.183 0.250 0.656
0.323 0.750 0.413
0.677 0.250 0.587
0.817 0.750 0.344
0.957 0.750 0.859
0.406 0.750 0.117
0.594 0.250 0.883
```

---

Starting from a cell relaxed with GGA-PBE, the powder X-ray diffraction pattern of K2AgBi was simulated for a wavelength of 1.5418 Å.
Intensities are scaled so that the largest is 100.

Largest 10 diffraction maxima, sorted by position, 2θ = 10–90°:
2θ (°)  I (rel.)
16.52  87.8
19.26  100.0
30.52  82.8
31.03  29.7
32.83  26.5
35.17  44.2
35.78  28.8
39.09  50.8
49.29  27.4
51.04  29.8

Atomic structure:
```
K2AgBi
1.0
4.232 -5.365 0.000
4.232 5.365 0.000
0.000 0.000 6.396
K Ag Bi
4 2 2
direct
0.023 0.674 0.997
0.326 0.977 0.503
0.674 0.023 0.003
0.977 0.326 0.497
0.499 0.501 0.750
0.501 0.499 0.250
0.226 0.226 0.000
0.774 0.774 0.500
```

---

Starting from a cell relaxed with GGA-PBE, the powder X-ray diffraction pattern of K2RbAg3Bi2 was simulated for a wavelength of 1.5418 Å.
Intensities are scaled so that the largest is 100.

Largest 10 diffraction maxima, sorted by position, 2θ = 10–90°:
2θ (°)  I (rel.)
17.83  100.0
22.19  42.9
28.13  49.0
30.42  27.0
31.30  31.4
36.12  71.5
36.50  55.6
44.30  21.1
45.27  35.2
58.17  23.9

Atomic structure:
```
K2RbAg3Bi2
1.0
3.172 1.831 7.807
-3.172 1.831 7.807
0.000 -3.663 7.807
K Rb Ag Bi
2 1 3 2
direct
0.084 0.084 0.084
0.916 0.916 0.916
0.500 0.500 0.500
0.000 0.500 0.500
0.500 0.000 0.500
0.500 0.500 0.000
0.241 0.241 0.241
0.759 0.759 0.759
```

---

Starting from a cell relaxed with GGA-PBE, the powder X-ray diffraction pattern of LaSmAg2Bi4 was simulated for a wavelength of 1.5418 Å.
Intensities are scaled so that the largest is 100.

Largest 10 diffraction maxima, sorted by position, 2θ = 10–90°:
2θ (°)  I (rel.)
25.35  10.4
25.70  11.9
28.71  11.6
32.33  100.0
34.03  11.7
39.15  37.2
47.43  10.7
52.82  13.4
56.56  12.8
66.67  25.2

Atomic structure:
```
LaSmAg2Bi4
1.0
4.602 0.000 0.000
0.000 4.602 0.000
0.000 0.000 10.539
La Sm Ag Bi
1 1 2 4
direct
0.000 0.000 0.000
0.500 0.500 0.498
0.000 0.500 0.747
0.500 0.000 0.747
0.000 0.000 0.565
0.000 0.500 0.252
0.500 0.000 0.252
0.500 0.500 0.931
```

---

Starting from a cell relaxed with GGA-PBE, the powder X-ray diffraction pattern of LiAgBi was simulated for a wavelength of 1.5418 Å.
Intensities are scaled so that the largest is 100.

Largest 10 diffraction maxima, sorted by position, 2θ = 10–90°:
2θ (°)  I (rel.)
24.13  16.2
27.93  100.0
39.92  83.1
47.19  9.5
49.42  28.0
57.73  14.1
63.48  4.3
65.33  36.4
72.49  28.8
86.11  9.5

Atomic structure:
```
LiAgBi
1.0
0.000 3.194 3.194
3.194 0.000 3.194
3.194 3.194 0.000
Li Ag Bi
1 1 1
direct
0.000 0.000 0.000
0.750 0.750 0.750
0.250 0.250 0.250
```

---

Starting from a cell relaxed with GGA-PBE, the powder X-ray diffraction pattern of Li4NiAgBi2 was simulated for a wavelength of 1.5418 Å.
Intensities are scaled so that the largest is 100.

Largest 10 diffraction maxima, sorted by position, 2θ = 10–90°:
2θ (°)  I (rel.)
23.54  100.0
27.32  10.1
38.85  52.4
39.02  27.6
45.78  14.9
46.07  34.7
56.37  9.5
61.68  12.4
70.57  18.2
75.66  8.3

Atomic structure:
```
Li4NiAgBi2
1.0
4.617 0.000 0.000
0.000 4.617 0.000
0.000 0.000 6.583
Li Ni Ag Bi
4 1 1 2
direct
0.000 0.000 0.000
0.000 0.500 0.239
0.500 0.000 0.761
0.500 0.500 0.500
0.500 0.500 0.000
0.000 0.000 0.500
0.000 0.500 0.775
0.500 0.000 0.225
```

---

Starting from a cell relaxed with GGA-PBE, the powder X-ray diffraction pattern of Mg2Ag2BiSb was simulated for a wavelength of 1.5418 Å.
Intensities are scaled so that the largest is 100.

Largest 10 diffraction maxima, sorted by position, 2θ = 10–90°:
2θ (°)  I (rel.)
23.21  84.8
38.36  100.0
45.23  14.4
45.36  28.8
55.44  11.2
60.80  11.8
69.27  11.2
69.41  22.5
74.34  6.6
82.09  7.1

Atomic structure:
```
Mg2Ag2BiSb
1.0
11.492 0.000 0.000
0.000 4.688 0.000
-3.795 0.000 10.855
Mg Ag Bi Sb
8 8 4 4
direct
0.000 0.000 0.000
0.119 0.500 0.374
0.243 0.000 0.746
0.375 0.500 0.130
0.498 0.000 0.501
0.623 0.500 0.871
0.747 0.000 0.252
0.871 0.500 0.624
0.129 0.500 0.131
0.241 0.000 0.493
0.371 0.500 0.875
0.499 0.000 0.257
0.626 0.500 0.623
0.748 0.000 0.994
0.871 0.500 0.379
0.990 0.000 0.743
0.119 0.500 0.874
0.371 0.500 0.623
0.498 0.000 0.002
0.873 0.500 0.126
0.249 0.000 0.250
0.622 0.500 0.375
0.745 0.000 0.747
0.995 0.000 0.498
```

---

Starting from a cell relaxed with GGA-PBE, the powder X-ray diffraction pattern of Na4Ag2BiP was simulated for a wavelength of 1.5418 Å.
Intensities are scaled so that the largest is 100.

Largest 10 diffraction maxima, sorted by position, 2θ = 10–90°:
2θ (°)  I (rel.)
15.15  76.2
15.47  28.5
19.51  100.0
21.72  77.2
34.44  31.7
34.88  78.1
35.49  53.6
36.69  53.8
39.33  42.4
44.27  48.6

Atomic structure:
```
Na4Ag2BiP
1.0
5.729 0.000 0.000
0.000 4.550 3.814
0.000 -4.550 3.814
Na Ag Bi P
4 2 1 1
direct
0.000 0.172 0.828
0.000 0.828 0.172
0.500 0.517 0.887
0.500 0.887 0.517
0.252 0.318 0.318
0.748 0.318 0.318
0.000 0.633 0.633
0.500 0.054 0.054
```

---

Starting from a cell relaxed with GGA-PBE, the powder X-ray diffraction pattern of RbNaAgBi was simulated for a wavelength of 1.5418 Å.
Intensities are scaled so that the largest is 100.

Largest 10 diffraction maxima, sorted by position, 2θ = 10–90°:
2θ (°)  I (rel.)
16.80  90.5
20.65  100.0
28.93  40.1
29.38  36.4
30.02  59.9
32.23  60.0
32.58  40.8
36.77  55.8
39.30  37.6
52.74  34.6

Atomic structure:
```
RbNaAgBi
1.0
6.299 0.000 0.000
0.000 6.045 0.000
-1.717 0.000 7.034
Rb Na Ag Bi
2 2 2 2
direct
0.059 0.250 0.175
0.941 0.750 0.825
0.332 0.750 0.512
0.668 0.250 0.488
0.500 0.000 0.000
0.500 0.500 0.000
0.254 0.250 0.695
0.746 0.750 0.305
```

---

Starting from a cell relaxed with GGA-PBE, the powder X-ray diffraction pattern of NdYAg2Bi4 was simulated for a wavelength of 1.5418 Å.
Intensities are scaled so that the largest is 100.

Largest 10 diffraction maxima, sorted by position, 2θ = 10–90°:
2θ (°)  I (rel.)
25.68  10.5
25.92  12.2
28.89  12.0
32.58  100.0
34.47  12.0
39.37  36.7
47.60  8.6
53.31  13.8
56.90  12.6
67.13  25.1

Atomic structure:
```
NdYAg2Bi4
1.0
4.577 0.000 0.000
0.000 4.577 0.000
0.000 0.000 10.409
Nd Y Ag Bi
1 1 2 4
direct
0.000 0.000 0.000
0.500 0.500 0.504
0.000 0.500 0.257
0.500 0.000 0.257
0.000 0.000 0.443
0.000 0.500 0.749
0.500 0.000 0.749
0.500 0.500 0.069
```

---

Starting from a cell relaxed with GGA-PBE, the powder X-ray diffraction pattern of NiAgBiTe3 was simulated for a wavelength of 1.5418 Å.
Intensities are scaled so that the largest is 100.

Largest 10 diffraction maxima, sorted by position, 2θ = 10–90°:
2θ (°)  I (rel.)
26.33  81.7
26.73  50.9
27.03  100.0
29.56  72.0
31.33  36.0
32.19  84.1
39.77  37.9
41.38  52.3
43.74  59.7
48.28  35.8

Atomic structure:
```
NiAgBiTe3
1.0
5.365 0.000 0.000
0.000 8.728 0.000
0.000 0.000 14.631
Ni Ag Bi Te
4 4 4 12
direct
0.026 0.147 0.242
0.474 0.853 0.742
0.526 0.353 0.758
0.974 0.647 0.258
0.039 0.600 0.953
0.461 0.400 0.453
0.539 0.900 0.047
0.961 0.100 0.547
0.113 0.636 0.653
0.387 0.364 0.153
0.613 0.864 0.347
0.887 0.136 0.847
0.201 0.660 0.410
0.209 0.887 0.201
0.249 0.128 0.391
0.251 0.872 0.891
0.291 0.113 0.701
0.299 0.340 0.910
0.701 0.840 0.590
0.709 0.613 0.799
0.749 0.372 0.609
0.751 0.628 0.109
0.791 0.387 0.299
0.799 0.160 0.090
```